1.
The following is a simulated X-ray powder pattern of Cs2PuCl4O2. It was derived from the PBE geometry in the Materials Project, using CuKα.

Principal peaks in the range 2θ from 10° to 80°, low angle first:
d 6.220, intensity 26, hkl 0 0 1
d 4.542, intensity 100, hkl 1 1 -1
d 4.355, intensity 30, hkl 2 0 1
d 3.694, intensity 63, hkl 3 1 0
d 2.858, intensity 60, hkl 2 2 1
d 2.783, intensity 25, hkl 1 1 2

Structural model:
```
data_Cs2PuCl4O2
_symmetry_space_group_name_H-M 'C 1 2/m 1'
_symmetry_Int_Tables_number 12
_symmetry_space_group_name_Hall '-C 2y'
_cell_length_a 12.7043
_cell_length_b 7.5737
_cell_length_c 6.2253
_cell_angle_alpha 90.00
_cell_angle_beta 92.32
_cell_angle_gamma 90.00
loop_
_atom_site_label
_atom_site_fract_x
_atom_site_fract_y
_atom_site_fract_z
Cs1 0.1577 0.0000 0.2243
Pu1 0.0000 0.5000 0.5000
Cl1 0.1068 0.2487 0.7152
O1 0.0997 0.5000 0.3082
```


2.
The following is a simulated X-ray powder pattern of Tb2MgPd2. It was derived from the PBE geometry in the Materials Project, using CuKα.

Principal peaks in the range 2θ from 10° to 80°, low angle first:
d 5.422, intensity 23, hkl 1 1 0
d 3.834, intensity 12, hkl 2 0 0
d 2.563, intensity 100, hkl 2 1 1
d 2.425, intensity 24, hkl 3 1 0
d 1.675, intensity 13, hkl 4 1 1
d 1.336, intensity 14, hkl 5 2 1

Structural model:
```
data_Tb2MgPd2
_symmetry_space_group_name_H-M 'P 4/m b m'
_symmetry_Int_Tables_number 127
_symmetry_space_group_name_Hall '-P 4 2ab'
_cell_length_a 7.6684
_cell_length_b 7.6684
_cell_length_c 3.8585
_cell_angle_alpha 90.00
_cell_angle_beta 90.00
_cell_angle_gamma 90.00
loop_
_atom_site_label
_atom_site_fract_x
_atom_site_fract_y
_atom_site_fract_z
Tb1 0.1687 0.3313 0.0000
Mg1 0.0000 0.0000 0.5000
Pd1 0.1324 0.6324 0.5000
```